Starting from a structure optimized by DFT (GGA-PBE), the powder XRD pattern of InBRh3 was calculated for Cu Kα, 1.54184 Å.
Intensities are scaled so that the largest is 100.

Structure:
```
InBRh3
1.0
3.940 0.000 0.000
-0.007 4.127 0.000
-1.054 -1.008 8.622
In B Rh
2 2 6
Direct
0.039 0.285 0.134
0.961 0.715 0.866
0.372 0.153 0.553
0.628 0.847 0.447
0.093 0.848 0.356
0.404 0.654 0.640
0.467 0.223 0.889
0.533 0.777 0.111
0.596 0.346 0.360
0.907 0.152 0.644
```

Peak list (12 most intense, 10 to 80 degrees two-theta, sorted by position)
- hkl 1 1 -2, 2θ 35.12, rel. 34
- hkl 1 1 1, 2θ 35.23, rel. 47
- hkl -1 1 2, 2θ 37.68, rel. 100
- hkl 1 -1 2, 2θ 37.96, rel. 99
- hkl 1 1 -3, 2θ 41.03, rel. 56
- hkl 1 1 2, 2θ 41.20, rel. 46
- hkl 0 0 4, 2θ 41.91, rel. 68
- hkl 0 2 -1, 2θ 44.21, rel. 64
- hkl 2 0 -1, 2θ 46.39, rel. 55
- hkl 2 -2 0, 2θ 65.45, rel. 21
- hkl 2 2 -1, 2θ 65.58, rel. 20
- hkl 1 3 1, 2θ 76.67, rel. 24